Theoretical powder X-ray diffraction pattern
Compound: Tb2CuIr
Radiation: λ = 1.5418 Å (Cu Kα)
Structure: a cell relaxed with PBE
No peak broadening, texture or thermal motion is included.

Structure:
```
data_Tb2CuIr
_cell_length_a 5.5854
_cell_length_b 4.3404
_cell_length_c 7.6557
_cell_angle_alpha 90.00
_cell_angle_beta 110.25
_cell_angle_gamma 90.00
_space_group_name_H-M_alt 'P 1 21/m 1'
_space_group_IT_number 11
_space_group_name_Hall '-P 2yb'
loop_
_atom_site_label
_atom_site_fract_x
_atom_site_fract_y
_atom_site_fract_z
Tb1 0.2158 0.2500 0.4361
Tb2 0.2278 0.2500 0.9253
Cu1 0.3445 0.7500 0.2120
Ir1 0.3499 0.7500 0.7146
```

Main lines, by intensity (2θ = 10–80°):
d [Å]	Position (°2θ)	Rel. int.	hkl
2.769	32.33	100	1 1 -2
2.221	40.62	36	2 1 -2
2.215	40.73	35	1 1 2
2.170	41.62	32	0 2 0
2.243	40.20	27	2 1 0
2.620	34.22	24	2 0 0
1.914	47.51	21	1 0 -4
1.435	64.97	17	1 2 -4
2.576	34.83	16	1 0 2
2.585	34.70	15	2 0 -2

=====

Theoretical powder X-ray diffraction pattern
Compound: TbZn3CuIr
Radiation: λ = 1.5418 Å (Cu Kα)
Structure: a cell relaxed with PBE
No peak broadening, texture or thermal motion is included.

Structure:
```
data_TbZn3CuIr
_cell_length_a 7.9730
_cell_length_b 10.8379
_cell_length_c 5.3127
_cell_angle_alpha 90.00
_cell_angle_beta 90.00
_cell_angle_gamma 90.00
_space_group_name_H-M_alt 'C m c m'
_space_group_IT_number 63
_space_group_name_Hall '-C 2c 2'
loop_
_atom_site_label
_atom_site_fract_x
_atom_site_fract_y
_atom_site_fract_z
Tb1 0.0000 0.1894 0.2500
Zn1 0.0000 0.3241 0.7500
Zn2 0.2487 0.0000 0.0000
Cu1 0.0000 0.4507 0.2500
Ir1 0.0000 0.0915 0.7500
```

Main lines, by intensity (2θ = 10–80°):
d [Å]	Position (°2θ)	Rel. int.	hkl
2.211	40.82	100	2 0 2
2.065	43.84	85	2 4 1
3.987	22.30	71	2 0 0
2.414	37.25	61	0 4 1
6.422	13.79	50	1 1 0
1.993	45.51	37	4 0 0
2.797	31.99	33	1 3 1
1.537	60.21	29	4 4 1
2.656	33.74	25	0 0 2
1.389	67.40	21	2 4 3

=====

Theoretical powder X-ray diffraction pattern
Compound: Cu4TeIr
Radiation: λ = 1.5418 Å (Cu Kα)
Structure: a cell relaxed with PBE
No peak broadening, texture or thermal motion is included.

Structure:
```
data_Cu4TeIr
_cell_length_a 6.9770
_cell_length_b 6.9770
_cell_length_c 6.9770
_cell_angle_alpha 90.00
_cell_angle_beta 90.00
_cell_angle_gamma 90.00
_space_group_name_H-M_alt 'F -4 3 m'
_space_group_IT_number 216
_space_group_name_Hall 'F -4 2 3'
loop_
_atom_site_label
_atom_site_fract_x
_atom_site_fract_y
_atom_site_fract_z
Cu1 0.1241 0.1241 0.1241
Te1 0.0000 0.0000 0.5000
Ir1 0.2500 0.2500 0.7500
```

Main lines, by intensity (2θ = 10–80°):
d [Å]	Position (°2θ)	Rel. int.	hkl
2.104	43.00	100	3 1 1
2.467	36.42	59	2 2 0
1.343	70.08	30	3 3 3
1.233	77.37	22	4 4 0
1.424	65.55	21	4 2 2
2.014	45.01	18	2 2 2
4.028	22.07	13	1 1 1
1.601	57.58	3	3 3 1
3.488	25.53	3	2 0 0
1.560	59.23	2	4 2 0

=====

Theoretical powder X-ray diffraction pattern
Compound: Th3CuIr8
Radiation: λ = 1.5418 Å (Cu Kα)
Structure: a cell relaxed with PBE
No peak broadening, texture or thermal motion is included.

Structure:
```
data_Th3CuIr8
_cell_length_a 5.4028
_cell_length_b 5.4028
_cell_length_c 26.4684
_cell_angle_alpha 90.00
_cell_angle_beta 90.00
_cell_angle_gamma 120.00
_space_group_name_H-M_alt 'R 3 m'
_space_group_IT_number 160
_space_group_name_Hall 'R 3 -2"'
loop_
_atom_site_label
_atom_site_fract_x
_atom_site_fract_y
_atom_site_fract_z
Th1 0.0000 0.0000 0.0000
Th2 0.0000 0.0000 0.1302
Th3 0.0000 0.0000 0.6109
Cu1 0.0000 0.0000 0.4810
Ir1 0.0000 0.0000 0.3109
Ir2 0.0000 0.0000 0.8113
Ir3 0.0028 0.5014 0.5605
Ir4 0.1669 0.3339 0.3945
```

Main lines, by intensity (2θ = 10–80°):
d [Å]	Position (°2θ)	Rel. int.	hkl
2.304	39.10	100	2 0 2
2.206	40.92	44	0 2 4
1.470	63.24	31	3 0 6
1.351	69.61	27	2 2 0
2.701	33.16	25	1 1 0
4.411	20.13	8	0 0 6
1.560	59.25	8	3 0 0
1.910	47.60	7	2 0 8
2.941	30.39	5	1 0 7
1.477	62.91	4	1 1 15

=====

Theoretical powder X-ray diffraction pattern
Compound: Ti7Cu2Ir2
Radiation: λ = 1.5418 Å (Cu Kα)
Structure: a cell relaxed with PBE
No peak broadening, texture or thermal motion is included.

Structure:
```
data_Ti7Cu2Ir2
_cell_length_a 6.5646
_cell_length_b 8.9981
_cell_length_c 6.5253
_cell_angle_alpha 90.00
_cell_angle_beta 90.00
_cell_angle_gamma 90.00
_space_group_name_H-M_alt 'C m m m'
_space_group_IT_number 65
_space_group_name_Hall '-C 2 2'
loop_
_atom_site_label
_atom_site_fract_x
_atom_site_fract_y
_atom_site_fract_z
Ti1 0.0000 0.0000 0.0000
Ti2 0.0000 0.5000 0.2689
Ti3 0.2500 0.2500 0.2848
Cu1 0.0000 0.2949 0.0000
Ir1 0.1911 0.0000 0.5000
```

Main lines, by intensity (2θ = 10–80°):
d [Å]	Position (°2θ)	Rel. int.	hkl
3.704	24.03	100	0 2 1
2.058	44.00	86	2 2 2
2.932	30.49	79	2 0 1
6.525	13.57	62	0 0 1
2.250	40.08	45	0 4 0
2.126	42.51	37	3 1 0
2.641	33.94	36	0 2 2
2.093	43.23	35	1 3 2
1.706	53.72	32	3 3 1
2.779	32.21	32	1 1 2

=====

Theoretical powder X-ray diffraction pattern
Compound: TlCuIr
Radiation: λ = 1.5418 Å (Cu Kα)
Structure: a cell relaxed with PBE
No peak broadening, texture or thermal motion is included.

Structure:
```
data_TlCuIr
_cell_length_a 3.0274
_cell_length_b 5.0888
_cell_length_c 13.4984
_cell_angle_alpha 90.00
_cell_angle_beta 90.00
_cell_angle_gamma 90.00
_space_group_name_H-M_alt 'F m m 2'
_space_group_IT_number 42
_space_group_name_Hall 'F 2 -2'
loop_
_atom_site_label
_atom_site_fract_x
_atom_site_fract_y
_atom_site_fract_z
Tl1 0.0000 0.0000 0.0000
Cu1 0.0000 0.0000 0.6725
Ir1 0.0000 0.0000 0.3235
```

Main lines, by intensity (2θ = 10–80°):
d [Å]	Position (°2θ)	Rel. int.	hkl
2.252	40.04	100	1 1 3
2.544	35.27	29	0 2 0
1.300	72.75	20	2 2 0
1.406	66.52	18	1 3 3
1.685	54.44	16	0 2 6
6.749	13.12	15	0 0 2
2.555	35.13	10	1 1 1
3.375	26.41	8	0 0 4
1.256	75.74	6	2 0 6
1.514	61.23	6	2 0 0

=====

Theoretical powder X-ray diffraction pattern
Compound: CuIrW2
Radiation: λ = 1.5418 Å (Cu Kα)
Structure: a cell relaxed with PBE
No peak broadening, texture or thermal motion is included.

Structure:
```
data_CuIrW2
_cell_length_a 5.4047
_cell_length_b 8.0008
_cell_length_c 2.7299
_cell_angle_alpha 90.00
_cell_angle_beta 90.39
_cell_angle_gamma 90.00
_space_group_name_H-M_alt 'C 1 2/m 1'
_space_group_IT_number 12
_space_group_name_Hall '-C 2y'
loop_
_atom_site_label
_atom_site_fract_x
_atom_site_fract_y
_atom_site_fract_z
Cu1 0.0000 0.0000 0.0000
Ir1 0.0000 0.5000 0.0000
W1 0.2500 0.2500 0.5000
```

Main lines, by intensity (2θ = 10–80°):
d [Å]	Position (°2θ)	Rel. int.	hkl
2.255	39.98	100	0 2 1
2.239	40.27	98	2 2 0
2.000	45.34	35	0 4 0
1.927	47.16	31	2 0 -1
1.914	47.51	31	2 0 1
4.479	19.82	21	1 1 0
1.388	67.49	21	2 4 -1
1.383	67.76	21	2 4 1
1.365	68.78	10	0 0 2
1.351	69.58	10	4 0 0

=====

Theoretical powder X-ray diffraction pattern
Compound: YCuIr2
Radiation: λ = 1.5418 Å (Cu Kα)
Structure: a cell relaxed with PBE
No peak broadening, texture or thermal motion is included.

Structure:
```
data_YCuIr2
_cell_length_a 9.1487
_cell_length_b 3.0122
_cell_length_c 5.0129
_cell_angle_alpha 90.00
_cell_angle_beta 102.75
_cell_angle_gamma 90.00
_space_group_name_H-M_alt 'C 1 2/m 1'
_space_group_IT_number 12
_space_group_name_Hall '-C 2y'
loop_
_atom_site_label
_atom_site_fract_x
_atom_site_fract_y
_atom_site_fract_z
Y1 0.0000 0.0000 0.0000
Cu1 0.0000 0.5000 0.5000
Ir1 0.2418 0.0000 0.7111
```

Main lines, by intensity (2θ = 10–80°):
d [Å]	Position (°2θ)	Rel. int.	hkl
2.392	37.60	100	1 1 1
2.064	43.86	69	3 1 -1
2.376	37.86	47	2 0 -2
2.231	40.43	42	4 0 0
4.462	19.90	41	2 0 0
1.969	46.11	23	2 0 2
2.544	35.28	19	1 1 -1
1.460	63.73	16	1 1 -3
1.391	67.30	16	5 1 1
1.248	76.28	13	4 2 0

=====

Theoretical powder X-ray diffraction pattern
Compound: Zn4Cu4Ir
Radiation: λ = 1.5418 Å (Cu Kα)
Structure: a cell relaxed with PBE
No peak broadening, texture or thermal motion is included.

Structure:
```
data_Zn4Cu4Ir
_cell_length_a 7.8844
_cell_length_b 7.8844
_cell_length_c 3.8269
_cell_angle_alpha 90.00
_cell_angle_beta 90.00
_cell_angle_gamma 90.00
_space_group_name_H-M_alt 'I 4/m m m'
_space_group_IT_number 139
_space_group_name_Hall '-I 4 2'
loop_
_atom_site_label
_atom_site_fract_x
_atom_site_fract_y
_atom_site_fract_z
Zn1 0.1671 0.1671 0.0000
Cu1 0.0000 0.3398 0.5000
Ir1 0.0000 0.0000 0.5000
```

Main lines, by intensity (2θ = 10–80°):
d [Å]	Position (°2θ)	Rel. int.	hkl
2.166	41.69	100	3 0 1
1.858	49.02	31	3 3 0
1.333	70.66	19	3 3 2
1.913	47.52	17	0 0 2
5.575	15.90	12	1 1 0
2.593	34.59	10	2 1 1
1.314	71.84	9	6 0 0
3.443	25.88	8	1 0 1
3.942	22.55	7	2 0 0
1.899	47.91	4	3 2 1

=====

Theoretical powder X-ray diffraction pattern
Compound: Zn6Cu5Ir
Radiation: λ = 1.5418 Å (Cu Kα)
Structure: a cell relaxed with PBE
No peak broadening, texture or thermal motion is included.

Structure:
```
data_Zn6Cu5Ir
_cell_length_a 3.8248
_cell_length_b 11.5470
_cell_length_c 7.2088
_cell_angle_alpha 90.00
_cell_angle_beta 90.40
_cell_angle_gamma 90.00
_space_group_name_H-M_alt 'C 1 2/m 1'
_space_group_IT_number 12
_space_group_name_Hall '-C 2y'
loop_
_atom_site_label
_atom_site_fract_x
_atom_site_fract_y
_atom_site_fract_z
Zn1 0.0005 0.1663 0.2488
Zn2 0.0015 0.5000 0.7535
Cu1 0.0000 0.0000 0.0000
Cu2 0.0000 0.3300 0.0000
Cu3 0.0000 0.3305 0.5000
Ir1 0.0000 0.0000 0.5000
```

Main lines, by intensity (2θ = 10–80°):
d [Å]	Position (°2θ)	Rel. int.	hkl
2.173	41.56	100	1 3 -2
2.162	41.77	99	1 3 2
1.924	47.23	34	0 6 0
1.912	47.55	33	2 0 0
1.802	50.65	28	0 0 4
1.316	71.74	27	2 0 -4
1.357	69.27	20	2 6 0
7.209	12.28	13	0 0 1
4.506	19.70	10	0 2 1
1.307	72.29	9	2 0 4

=====

Theoretical powder X-ray diffraction pattern
Compound: Zn6CuIr5
Radiation: λ = 1.5418 Å (Cu Kα)
Structure: a cell relaxed with PBE
No peak broadening, texture or thermal motion is included.

Structure:
```
data_Zn6CuIr5
_cell_length_a 4.2367
_cell_length_b 12.7266
_cell_length_c 6.1834
_cell_angle_alpha 90.00
_cell_angle_beta 90.00
_cell_angle_gamma 90.00
_space_group_name_H-M_alt 'C m m m'
_space_group_IT_number 65
_space_group_name_Hall '-C 2 2'
loop_
_atom_site_label
_atom_site_fract_x
_atom_site_fract_y
_atom_site_fract_z
Zn1 0.0000 0.0000 0.2467
Zn2 0.0000 0.3333 0.2497
Cu1 0.0000 0.5000 0.0000
Ir1 0.0000 0.1644 0.0000
Ir2 0.0000 0.1640 0.5000
Ir3 0.0000 0.5000 0.5000
```

Main lines, by intensity (2θ = 10–80°):
d [Å]	Position (°2θ)	Rel. int.	hkl
2.152	41.98	100	1 3 2
2.120	42.65	48	2 0 0
1.230	77.63	32	3 3 2
2.998	29.80	20	1 3 0
1.249	76.23	17	2 0 4
1.499	61.91	16	2 6 0
3.092	28.88	11	0 0 2
1.748	52.33	9	2 0 2
1.546	59.83	9	0 0 4
1.374	68.26	4	1 3 4

=====

Theoretical powder X-ray diffraction pattern
Compound: Zn2Cu5Ir
Radiation: λ = 1.5418 Å (Cu Kα)
Structure: a cell relaxed with PBE
No peak broadening, texture or thermal motion is included.

Structure:
```
data_Zn2Cu5Ir
_cell_length_a 5.2548
_cell_length_b 10.4570
_cell_length_c 3.7286
_cell_angle_alpha 90.00
_cell_angle_beta 90.00
_cell_angle_gamma 90.00
_space_group_name_H-M_alt 'P b a m'
_space_group_IT_number 55
_space_group_name_Hall '-P 2 2ab'
loop_
_atom_site_label
_atom_site_fract_x
_atom_site_fract_y
_atom_site_fract_z
Zn1 0.2401 0.1245 0.0000
Cu1 0.0000 0.5000 0.5000
Cu2 0.0129 0.7458 0.5000
Cu3 0.2409 0.3721 0.0000
Ir1 0.0000 0.0000 0.5000
```

Main lines, by intensity (2θ = 10–80°):
d [Å]	Position (°2θ)	Rel. int.	hkl
2.148	42.07	100	2 0 1
2.141	42.22	100	0 4 1
1.853	49.16	62	2 4 0
1.314	71.83	47	2 4 2
1.864	48.85	32	0 0 2
4.695	18.90	22	1 1 0
5.228	16.96	14	0 2 0
2.920	30.62	14	1 1 1
1.307	72.28	9	0 8 0
2.291	39.32	9	1 3 1